Starting from a structure optimized by DFT (GGA-PBE), the powder diffractogram of US3 was calculated for Cu Kα X-rays.

Structure:
Cell: 5.417 3.922 9.611 Å, 90.00 97.22 90.00°
Element x y z (fractional)
U1 0.219 0.250 0.363
U2 0.781 0.750 0.637
S1 0.010 0.250 0.811
S2 0.264 0.750 0.564
S3 0.371 0.750 0.189
S4 0.629 0.250 0.811
S5 0.736 0.250 0.436
S6 0.990 0.750 0.189

Most intense lines, 5 to 70 degrees two-theta, sorted by position:
9.28°, I = 100; 17.90°, I = 25; 19.96°, I = 31; 23.33°, I = 21; 28.15°, I = 24; 29.49°, I = 54; 41.72°, I = 15; 42.83°, I = 14

Starting from a structure optimized by DFT (GGA-PBE), the powder diffractogram of K3NdCl6 was calculated for Cu Kα X-rays.

Structure:
Cell: 8.075 8.075 8.075 Å, 60.00 60.00 60.00°
Element x y z (fractional)
K1 0.000 0.000 0.000
K2 0.250 0.250 0.250
K3 0.750 0.750 0.750
Nd1 0.500 0.500 0.500
Cl1 0.261 0.261 0.739
Cl2 0.261 0.739 0.261
Cl3 0.261 0.739 0.739
Cl4 0.739 0.261 0.261
Cl5 0.739 0.261 0.739
Cl6 0.739 0.739 0.261

Most intense lines, 5 to 70 degrees two-theta, sorted by position:
13.43°, I = 60; 15.52°, I = 77; 22.02°, I = 81; 25.88°, I = 26; 31.33°, I = 100; 35.14°, I = 38; 38.63°, I = 36; 44.90°, I = 66

Starting from a structure optimized by DFT (GGA-PBE), the powder diffractogram of CaTm2S4 was calculated for Cu Kα X-rays.

Structure:
Cell: 12.859 3.853 13.067 Å, 90.00 90.00 90.00°
Element x y z (fractional)
Ca1 0.131 0.250 0.084
Ca2 0.369 0.750 0.584
Ca3 0.631 0.250 0.416
Ca4 0.869 0.750 0.916
Tm1 0.107 0.750 0.417
Tm2 0.147 0.750 0.798
Tm3 0.353 0.250 0.298
Tm4 0.393 0.250 0.917
Tm5 0.607 0.750 0.083
Tm6 0.647 0.750 0.702
Tm7 0.853 0.250 0.202
Tm8 0.893 0.250 0.583
S1 0.031 0.250 0.882
S2 0.033 0.750 0.618
S3 0.217 0.750 0.238
S4 0.242 0.250 0.473
S5 0.258 0.750 0.973
S6 0.283 0.250 0.738
S7 0.467 0.250 0.118
S8 0.469 0.750 0.382
S9 0.531 0.250 0.618
S10 0.533 0.750 0.882
S11 0.717 0.750 0.262
S12 0.742 0.250 0.027
S13 0.758 0.750 0.527
S14 0.783 0.250 0.762
S15 0.967 0.250 0.382
S16 0.969 0.750 0.118

Most intense lines, 5 to 70 degrees two-theta, sorted by position:
15.21°, I = 84; 24.69°, I = 100; 26.98°, I = 92; 27.76°, I = 62; 31.98°, I = 54; 34.17°, I = 61; 42.38°, I = 55; 47.22°, I = 52

Copy entry 3 word for word.
Starting from a structure optimized by DFT (GGA-PBE), the powder diffractogram of CaTm2S4 was calculated for Cu Kα X-rays.

Structure:
Cell: 12.859 3.853 13.067 Å, 90.00 90.00 90.00°
Element x y z (fractional)
Ca1 0.131 0.250 0.084
Ca2 0.369 0.750 0.584
Ca3 0.631 0.250 0.416
Ca4 0.869 0.750 0.916
Tm1 0.107 0.750 0.417
Tm2 0.147 0.750 0.798
Tm3 0.353 0.250 0.298
Tm4 0.393 0.250 0.917
Tm5 0.607 0.750 0.083
Tm6 0.647 0.750 0.702
Tm7 0.853 0.250 0.202
Tm8 0.893 0.250 0.583
S1 0.031 0.250 0.882
S2 0.033 0.750 0.618
S3 0.217 0.750 0.238
S4 0.242 0.250 0.473
S5 0.258 0.750 0.973
S6 0.283 0.250 0.738
S7 0.467 0.250 0.118
S8 0.469 0.750 0.382
S9 0.531 0.250 0.618
S10 0.533 0.750 0.882
S11 0.717 0.750 0.262
S12 0.742 0.250 0.027
S13 0.758 0.750 0.527
S14 0.783 0.250 0.762
S15 0.967 0.250 0.382
S16 0.969 0.750 0.118

Most intense lines, 5 to 70 degrees two-theta, sorted by position:
15.21°, I = 84; 24.69°, I = 100; 26.98°, I = 92; 27.76°, I = 62; 31.98°, I = 54; 34.17°, I = 61; 42.38°, I = 55; 47.22°, I = 52